Calculated powder diffractogram
Compound: Hf2NiP
Radiation: CuKα
Structure: a GGA-PBE-relaxed structure

Cell and atoms:
```
data_Hf2NiP
_chemical_formula_sum 'Hf4 Ni2 P2'
_space_group_name_H-M_alt 'P 1 21/m 1'
_space_group_IT_number 11
_cell_length_a 5.1776
_cell_length_b 3.5929
_cell_length_c 7.4269
_cell_angle_alpha 90.00
_cell_angle_beta 109.61
_cell_angle_gamma 90.00
loop_
_space_group_symop_operation_xyz
'x,y,z'
'-x,-y,-z'
'-x,y+1/2,-z'
'x,-y+1/2,z'
loop_
_atom_site_label
_atom_site_fract_x
_atom_site_fract_y
_atom_site_fract_z
Hf1 0.2159 0.2500 0.4256
Hf2 0.2789 0.7500 0.0716
Ni1 0.1439 0.2500 0.7918
P1 0.3604 0.7500 0.7097
```

Main lines, low angle first (5 to 70 degrees two-theta):
3.494 Å, 2θ 25.50, rel. 18.4
2.884 Å, 2θ 31.01, rel. 48.3
2.505 Å, 2θ 35.85, rel. 100.0
2.448 Å, 2θ 36.71, rel. 25.5
2.439 Å, 2θ 36.86, rel. 26.7
2.417 Å, 2θ 37.20, rel. 24.2
2.023 Å, 2θ 44.80, rel. 13.4
2.018 Å, 2θ 44.92, rel. 13.3
2.005 Å, 2θ 45.22, rel. 17.8
1.873 Å, 2θ 48.60, rel. 20.2
1.796 Å, 2θ 50.83, rel. 17.8
1.447 Å, 2θ 64.37, rel. 20.6